Starting from a crystal structure in Alexandria, relaxed with GGA+U, the XRD peak list of SmCr2BiO6 was calculated for Cu Kα X-rays.
No peak broadening, texture or thermal motion is included.

Lattice parameters (Å, degrees): 5.5404 5.5404 5.5404 60.45 60.45 60.45
Sites, in units of the cell vectors:
Sm 0.0000 0.0000 0.0000
Cr 0.2338 0.2338 0.2338
Cr 0.7349 0.7349 0.7349
Bi 0.5061 0.5061 0.5061
O 0.0614 0.4650 0.9042
O 0.3962 0.9571 0.5698
O 0.4650 0.9042 0.0614
O 0.5698 0.3962 0.9571
O 0.9042 0.0614 0.4650
O 0.9571 0.5698 0.3962

Peak list (10 most intense, 10 to 90 degrees two-theta, sorted by position)
2θ/deg	I/Imax
22.6	679
32.1	987
32.3	1000
39.6	304
46.2	511
51.9	177
52.2	222
57.2	251
57.3	421
57.8	181